Computed powder X-ray diffraction pattern
Compound: Rb3Bi2I9
Radiation: λ = 1.5418 Å (Cu Kα)
Structure: a cell relaxed with PBE

Main lines, sorted by position (2θ = 5–70°):
2θ/deg	I (rel.)
14.22	63
14.64	53
24.69	47
26.94	38
27.75	42
28.66	95
29.52	100
32.19	54
41.61	62
43.62	45

Cell and atoms:
a = 20.754 Å, b = 8.855 Å, c = 14.955 Å
α = 90.00°, β = 93.34°, γ = 90.00°
Space group P2_1/c (No. 14)
Symmetry-distinct sites (fractional):
Rb  0.079  0.065  0.323 x4
Rb  0.262  0.572  0.505 x4
Rb  0.416  0.074  0.660 x4
Bi  0.160  0.505  0.169 x4
Bi  0.341  0.007  0.336 x4
I  0.054  0.179  0.580 x4
I  0.097  0.008  0.843 x4
I  0.100  0.699  0.618 x4
I  0.230  0.510  0.978 x4
I  0.235  0.178  0.203 x4
I  0.288  0.676  0.258 x4
I  0.389  0.202  0.915 x4
I  0.427  0.681  0.959 x4
I  0.432  0.007  0.188 x4